# NaFeCl4
Calculated X-ray powder pattern, copper Kα. Input: DFT lattice parameters and positions (GGA-PBE).
Peak positions follow from Bragg's law for the DFT cell and can differ from measured ones.

Largest 8 diffraction maxima, low angle first, 10° ≤ 2θ ≤ 90°:
- 5.480 Å, I 95.4
- 5.431 Å, I 100.0
- 4.859 Å, I 63.7
- 3.792 Å, I 83.6
- 3.776 Å, I 70.0
- 3.245 Å, I 64.7
- 3.039 Å, I 85.7
- 1.846 Å, I 87.1

Structure:
```
NaFeCl4
1.0
6.347 0.000 0.000
0.000 10.507 0.000
0.000 0.000 10.861
Na Fe Cl
4 4 16
Cartesian
0.750 0.130 3.898
2.423 10.378 9.329
3.923 5.124 6.963
5.597 5.383 1.532
0.536 2.540 7.725
2.637 7.968 2.295
3.709 2.714 3.136
5.810 7.793 8.566
1.211 4.385 6.712
1.301 0.705 6.706
1.349 2.437 9.770
1.501 2.720 3.126
1.672 7.788 8.557
1.825 8.071 4.339
1.872 9.802 1.276
1.962 6.122 1.281
4.385 0.869 4.149
4.474 4.549 4.155
4.522 2.817 1.091
4.674 2.534 7.735
4.846 7.974 2.304
4.998 7.691 6.522
5.046 5.959 9.585
5.135 9.639 9.580
```

---

# Er5Sb
Calculated X-ray powder pattern, copper Kα. Input: DFT lattice parameters and positions (GGA-PBE).
Peak positions follow from Bragg's law for the DFT cell and can differ from measured ones.

Largest 8 diffraction maxima, low angle first, 10° ≤ 2θ ≤ 90°:
- 2.788 Å, I 100.0
- 2.446 Å, I 17.2
- 2.416 Å, I 16.9
- 2.382 Å, I 16.2
- 1.719 Å, I 11.9
- 1.470 Å, I 13.9
- 1.457 Å, I 13.9
- 1.441 Å, I 13.4

Structure:
```
Er5Sb
1.0
2.382 -7.338 0.000
2.382 7.338 0.000
0.000 0.000 4.833
Er Sb
5 1
Cartesian
0.000 0.000 0.000
2.382 4.971 2.416
2.382 2.470 0.000
2.382 -2.470 0.000
2.382 -4.971 2.416
2.382 0.000 2.416
```